[1]
K2PtS15: computed powder diffraction line list (CuKα), based on a structure optimized by DFT (PBE).
Lines closer than 0.1° are merged.

Main lines, in order of rising 2θ (15 to 90 degrees two-theta):
2θ (°)  I (rel.)
17.87  875
18.47  762
19.21  835
23.38  742
27.63  777
27.75  789
28.45  1000
30.66  845

```
data_K2PtS15
_chemical_formula_sum 'K4 Pt2 S30'
_symmetry_space_group_name_H-M 'P 1'
_symmetry_Int_Tables_number 1
_cell_length_a 9.071
_cell_length_b 9.071
_cell_length_c 12.759
_cell_angle_alpha 91.61
_cell_angle_beta 91.61
_cell_angle_gamma 66.25
loop_
_symmetry_equiv_pos_as_xyz
'x,y,z'
loop_
_atom_site_label
_atom_site_type_symbol
_atom_site_fract_x
_atom_site_fract_y
_atom_site_fract_z
K1 K 0.094 0.906 0.500
K2 K 0.446 0.785 0.764
K3 K 0.785 0.446 0.264
K4 K 0.906 0.094 0.000
Pt1 Pt 0.528 0.943 0.102
Pt2 Pt 0.943 0.528 0.602
S1 S 0.051 0.498 0.427
S2 S 0.070 0.240 0.632
S3 S 0.098 0.717 0.803
S4 S 0.149 0.365 0.964
S5 S 0.159 0.314 0.124
S6 S 0.172 0.579 0.670
S7 S 0.240 0.070 0.132
S8 S 0.296 0.392 0.437
S9 S 0.314 0.159 0.624
S10 S 0.316 0.676 0.073
S11 S 0.365 0.149 0.464
S12 S 0.369 0.785 0.308
S13 S 0.379 0.582 0.222
S14 S 0.392 0.296 0.937
S15 S 0.498 0.051 0.927
S16 S 0.515 0.702 0.023
S17 S 0.568 0.823 0.274
S18 S 0.579 0.172 0.170
S19 S 0.582 0.379 0.722
S20 S 0.676 0.316 0.573
S21 S 0.702 0.515 0.523
S22 S 0.717 0.098 0.303
S23 S 0.746 0.940 0.696
S24 S 0.785 0.369 0.808
S25 S 0.802 0.811 0.560
S26 S 0.811 0.802 0.060
S27 S 0.823 0.568 0.774
S28 S 0.940 0.746 0.196
S29 S 0.953 0.961 0.252
S30 S 0.961 0.953 0.752
```

***

[2]
GdNiP2Pd: computed powder diffraction line list (CuKα), based on a structure optimized by DFT (PBE).
Lines closer than 0.1° are merged.

Main lines, in order of rising 2θ (15 to 90 degrees two-theta):
2θ (°)  I (rel.)
24.05  350
35.64  367
36.75  1000
36.95  159
45.34  367
58.96  169
59.87  155
78.06  214

```
data_GdNiP2Pd
_chemical_formula_sum 'Gd1 Ni1 P2 Pd1'
_symmetry_space_group_name_H-M 'P 1'
_symmetry_Int_Tables_number 1
_cell_length_a 5.628
_cell_length_b 5.628
_cell_length_c 5.628
_cell_angle_alpha 138.37
_cell_angle_beta 138.37
_cell_angle_gamma 60.34
loop_
_symmetry_equiv_pos_as_xyz
'x,y,z'
loop_
_atom_site_label
_atom_site_type_symbol
_atom_site_fract_x
_atom_site_fract_y
_atom_site_fract_z
Gd1 Gd 0.000 0.000 0.000
Ni1 Ni 0.250 0.750 0.500
P1 P 0.384 0.384 0.000
P2 P 0.616 0.616 0.000
Pd1 Pd 0.750 0.250 0.500
```

***

[3]
Nd2HgAu5: computed powder diffraction line list (CuKα), based on a structure optimized by DFT (PBE).
Lines closer than 0.1° are merged.

Main lines, in order of rising 2θ (15 to 90 degrees two-theta):
2θ (°)  I (rel.)
31.36  220
31.87  138
36.59  1000
37.04  439
37.24  317
56.47  175
66.73  176
69.61  188

```
data_Nd2HgAu5
_chemical_formula_sum 'Nd2 Hg1 Au5'
_symmetry_space_group_name_H-M 'P 1'
_symmetry_Int_Tables_number 1
_cell_length_a 4.828
_cell_length_b 6.519
_cell_length_c 6.519
_cell_angle_alpha 61.05
_cell_angle_beta 90.00
_cell_angle_gamma 90.00
loop_
_symmetry_equiv_pos_as_xyz
'x,y,z'
loop_
_atom_site_label
_atom_site_type_symbol
_atom_site_fract_x
_atom_site_fract_y
_atom_site_fract_z
Nd1 Nd 0.000 0.000 0.000
Nd2 Nd 0.500 0.323 0.323
Hg1 Hg 0.000 0.510 0.510
Au1 Au 0.000 0.514 0.980
Au2 Au 0.000 0.980 0.514
Au3 Au 0.500 0.352 0.822
Au4 Au 0.500 0.820 0.820
Au5 Au 0.500 0.822 0.352
```